Entry 1:
This entry pairs a crystal structure of Li2Mn3TeO8 with its simulated X-ray diffraction stick pattern. Radiation: Cu Kα (weighted mean of Kα1 and Kα2). Structure: the GGA+U geometry in the Materials Project.
Neutral-atom scattering factors, no anomalous dispersion.

Cell and atoms:
Lattice parameters (Å, degrees): 6.0916 6.1171 10.8085 90.80 105.48 119.65
Space group P-1 (No. 2)
Asymmetric unit:
Li: 0.1396 0.0637 0.2099 x2
Li: 0.1497 0.5700 0.7094 x2
Mn: 0.0000 0.0000 0.5000 x1
Mn: 0.0000 0.5000 0.0000 x1
Mn: 0.5000 0.0000 0.0000 x1
Mn: 0.5000 0.0000 0.5000 x1
Mn: 0.5000 0.5000 0.0000 x1
Mn: 0.5000 0.5000 0.5000 x1
Te: 0.4840 0.7355 0.2500 x2
O: 0.2556 0.8392 0.1321 x2
O: 0.2601 0.6289 0.3633 x2
O: 0.2632 0.6105 0.9092 x2
O: 0.2701 0.4010 0.1343 x2
O: 0.2847 0.1522 0.8610 x2
O: 0.2934 0.3747 0.6323 x2
O: 0.2973 0.9253 0.6362 x2
O: 0.3005 0.1487 0.4092 x2

Peak list (6 most intense, 2θ from 10° to 90°, in order of rising 2θ)
(hkl)	d [Å]	Position (°2θ)	Rel. int.
1 0 0	5.028	17.6	100
-1 1 1	4.966	17.9	45
1 -2 2	2.639	34.0	20
2 -2 2	2.192	41.2	22
0 2 2	2.182	41.4	22
2 0 -4	2.168	41.7	21


Entry 2:
This entry pairs a crystal structure of Mg3Cr8FeO16 with its simulated X-ray diffraction stick pattern. Radiation: Cu Kα (weighted mean of Kα1 and Kα2). Structure: the GGA+U geometry in the Materials Project.
Neutral-atom scattering factors, no anomalous dispersion.

Cell and atoms:
Lattice parameters (Å, degrees): 6.0218 6.0218 29.3388 90.00 90.00 120.00
Space group R3m (No. 160, hexagonal axes)
Asymmetric unit:
Mg: 0.0000 0.0000 0.0000 x3
Mg: 0.0000 0.0000 0.1250 x3
Mg: 0.0000 0.0000 0.5001 x3
Cr: 0.0000 0.0000 0.3126 x3
Cr: 0.0000 0.0000 0.8125 x3
Cr: 0.0005 0.5002 0.5625 x9
Cr: 0.0006 0.5003 0.0624 x9
Fe: 0.0000 0.0000 0.6254 x3
O: 0.0000 0.0000 0.1931 x3
O: 0.0000 0.0000 0.4320 x3
O: 0.0000 0.0000 0.6927 x3
O: 0.0000 0.0000 0.9319 x3
O: 0.0298 0.5149 0.4356 x9
O: 0.0334 0.5167 0.9358 x9
O: 0.1814 0.3628 0.0229 x9
O: 0.1814 0.3628 0.5227 x9

Peak list (6 most intense, 2θ from 10° to 90°, in order of rising 2θ)
(hkl)	d [Å]	Position (°2θ)	Rel. int.
0 1 2	4.908	18.1	62
1 1 6	2.565	35.0	100
2 0 8	2.125	42.5	58
2 0 14	1.635	56.3	33
2 2 0	1.505	61.6	36
0 2 16	1.500	61.9	35


Entry 3:
This entry pairs a crystal structure of SrCaFeSnO6 with its simulated X-ray diffraction stick pattern. Radiation: Cu Kα (weighted mean of Kα1 and Kα2). Structure: the GGA+U geometry in the Materials Project.
Neutral-atom scattering factors, no anomalous dispersion.

Cell and atoms:
Lattice parameters (Å, degrees): 7.9926 7.9926 7.9926 90.00 90.00 90.00
Space group F-43m (No. 216)
Asymmetric unit:
Sr: 0.0000 0.0000 0.0000 x4
Ca: 0.0000 0.0000 0.5000 x4
Fe: 0.2500 0.2500 0.2500 x4
Sn: 0.2500 0.2500 0.7500 x4
O: 0.0056 0.2500 0.2500 x24

Peak list (6 most intense, 2θ from 10° to 90°, in order of rising 2θ)
(hkl)	d [Å]	Position (°2θ)	Rel. int.
1 1 1	4.615	19.2	15
2 2 0	2.826	31.7	100
4 0 0	1.998	45.4	38
4 2 2	1.631	56.4	39
4 4 0	1.413	66.1	22
6 2 0	1.264	75.2	17


Entry 4:
This entry pairs a crystal structure of LiEuW2O8 with its simulated X-ray diffraction stick pattern. Radiation: Cu Kα (weighted mean of Kα1 and Kα2). Structure: the GGA+U geometry in the Materials Project.
Neutral-atom scattering factors, no anomalous dispersion.

Cell and atoms:
Lattice parameters (Å, degrees): 5.1501 5.9301 11.0887 90.00 112.73 90.00
Space group P2/c (No. 13)
Asymmetric unit:
Li: 0.0000 0.1923 0.2500 x2
Eu: 0.5000 0.1912 0.7500 x2
W: 0.2633 0.3290 0.0143 x4
O: 0.1429 0.3955 0.5946 x4
O: 0.2264 0.1318 0.1329 x4
O: 0.2747 0.1286 0.8892 x4
O: 0.3549 0.4131 0.3900 x4

Peak list (6 most intense, 2θ from 10° to 90°, in order of rising 2θ)
(hkl)	d [Å]	Position (°2θ)	Rel. int.
0 0 2	5.119	17.3	52
0 1 2	3.876	22.9	72
1 1 1	3.191	28.0	100
1 1 -3	3.000	29.8	82
0 2 0	2.960	30.2	34
2 0 -2	2.567	35.0	60


Entry 5:
This entry pairs a crystal structure of SrVZnP2O8 with its simulated X-ray diffraction stick pattern. Radiation: Cu Kα (weighted mean of Kα1 and Kα2). Structure: the GGA+U geometry in the Materials Project.
Neutral-atom scattering factors, no anomalous dispersion.

Cell and atoms:
Lattice parameters (Å, degrees): 5.5332 7.0432 9.5223 110.93 101.58 98.15
Space group P-1 (No. 2)
Asymmetric unit:
Sr: 0.2455 0.2981 0.0466 x2
V: 0.3604 0.6493 0.4385 x2
Zn: 0.0060 0.1215 0.3532 x2
P: 0.1605 0.4782 0.6994 x2
P: 0.3902 0.9225 0.2316 x2
O: 0.0023 0.2539 0.5780 x2
O: 0.0406 0.3818 0.2997 x2
O: 0.1925 0.9452 0.1024 x2
O: 0.2631 0.4934 0.8643 x2
O: 0.3336 0.7009 0.2297 x2
O: 0.3362 0.0244 0.7862 x2
O: 0.3620 0.0829 0.3905 x2
O: 0.3788 0.5493 0.6347 x2

Peak list (6 most intense, 2θ from 10° to 90°, in order of rising 2θ)
(hkl)	d [Å]	Position (°2θ)	Rel. int.
0 2 -2	3.258	27.4	100
-1 1 2	3.069	29.1	26
1 1 1	2.955	30.2	65
1 0 -3	2.854	31.3	56
2 0 -1	2.736	32.7	47
-1 2 1	2.704	33.1	38


Copy entry 2 word for word.
This entry pairs a crystal structure of Mg3Cr8FeO16 with its simulated X-ray diffraction stick pattern. Radiation: Cu Kα (weighted mean of Kα1 and Kα2). Structure: the GGA+U geometry in the Materials Project.
Neutral-atom scattering factors, no anomalous dispersion.

Cell and atoms:
Lattice parameters (Å, degrees): 6.0218 6.0218 29.3388 90.00 90.00 120.00
Space group R3m (No. 160, hexagonal axes)
Asymmetric unit:
Mg: 0.0000 0.0000 0.0000 x3
Mg: 0.0000 0.0000 0.1250 x3
Mg: 0.0000 0.0000 0.5001 x3
Cr: 0.0000 0.0000 0.3126 x3
Cr: 0.0000 0.0000 0.8125 x3
Cr: 0.0005 0.5002 0.5625 x9
Cr: 0.0006 0.5003 0.0624 x9
Fe: 0.0000 0.0000 0.6254 x3
O: 0.0000 0.0000 0.1931 x3
O: 0.0000 0.0000 0.4320 x3
O: 0.0000 0.0000 0.6927 x3
O: 0.0000 0.0000 0.9319 x3
O: 0.0298 0.5149 0.4356 x9
O: 0.0334 0.5167 0.9358 x9
O: 0.1814 0.3628 0.0229 x9
O: 0.1814 0.3628 0.5227 x9

Peak list (6 most intense, 2θ from 10° to 90°, in order of rising 2θ)
(hkl)	d [Å]	Position (°2θ)	Rel. int.
0 1 2	4.908	18.1	62
1 1 6	2.565	35.0	100
2 0 8	2.125	42.5	58
2 0 14	1.635	56.3	33
2 2 0	1.505	61.6	36
0 2 16	1.500	61.9	35